This entry pairs a crystal structure of RbBa2CrF8 with its simulated PXRD pattern. Radiation: λ = 1.5418 Å (Cu Kα). Structure: the GGA+U geometry in Alexandria.
Kinematic intensities with the Lorentz-polarization factor, no thermal factor.

Structural model:
Cell lengths 4.6787, 8.3962, 5.7132 Å; angles 90.00, 99.41, 90.00 degrees
Space group P2/m (No. 10)
Asymmetric unit:
Rb: 0.0000 0.0000 0.0000
Ba: 0.5000 0.2597 0.5000
Cr: 0.0000 0.5000 0.0000
F: 0.0706 0.3260 0.7796
F: 0.3810 0.5000 0.1964
F: 0.4332 0.0000 0.7261

Principal peaks in the range 10 to 80 degrees two-theta, by angle:
| index | Position (°2θ) | Rel. int. |
| --- | --- | --- |
| 1 0 -1 | 22.82 | 68 |
| 0 2 1 | 26.47 | 100 |
| 1 0 1 | 26.89 | 58 |
| 1 2 0 | 28.75 | 43 |
| 2 0 0 | 39.03 | 25 |
| 1 2 -2 | 40.80 | 52 |
| 0 4 0 | 43.09 | 16 |
| 2 2 -1 | 45.42 | 25 |
| 1 2 2 | 45.80 | 29 |
| 1 4 -1 | 49.30 | 27 |
| 2 2 1 | 50.05 | 14 |
| 0 2 3 | 53.43 | 14 |